Diffraction record for MgHg2Br6O6. The PXRD pattern is computed, not measured: it uses a GGA-PBE-relaxed structure and copper Kα.
Intensities are scaled so that the largest is 100.

Crystal structure
abc: 10.5993 10.5993 13.8949
angles: 130.46 130.46 37.43
Fractional positions:
Mg (0.1607, 0.8393, 0.7500)
Mg (0.8393, 0.1607, 0.2500)
Hg (0.2333, 0.5547, 0.1003)
Hg (0.4453, 0.7667, 0.3997)
Hg (0.5547, 0.2333, 0.6003)
Hg (0.7667, 0.4453, 0.8997)
Br (0.0492, 0.3878, 0.5890)
Br (0.0771, 0.4198, 0.8604)
Br (0.2566, 0.7138, 0.4909)
Br (0.2862, 0.7434, 0.0091)
Br (0.3878, 0.0492, 0.0890)
Br (0.4198, 0.0771, 0.3604)
Br (0.5802, 0.9229, 0.6396)
Br (0.6122, 0.9508, 0.9110)
Br (0.7138, 0.2566, 0.9909)
Br (0.7434, 0.2862, 0.5091)
Br (0.9229, 0.5802, 0.1396)
Br (0.9508, 0.6122, 0.4110)
O (0.0278, 0.6751, 0.5817)
O (0.0988, 0.8290, 0.8664)
O (0.1312, 0.8688, 0.2500)
O (0.1710, 0.9012, 0.6336)
O (0.3249, 0.9722, 0.9183)
O (0.4540, 0.5460, 0.7500)
O (0.5460, 0.4540, 0.2500)
O (0.6751, 0.0278, 0.0817)
O (0.8290, 0.0988, 0.3664)
O (0.8688, 0.1312, 0.7500)
O (0.9012, 0.1710, 0.1336)
O (0.9722, 0.3249, 0.4183)

Most intense lines, 10 to 90 degrees two-theta, sorted by position:
2θ 12.7, intensity 37; 2θ 14.5, intensity 56; 2θ 26.2, intensity 38; 2θ 27.7, intensity 100; 2θ 28.5, intensity 92; 2θ 33.3, intensity 40